(1)
# Li3Pu3ZnS8
Theoretical powder diffraction line list, CuKα. Input: a crystal structure in Alexandria, relaxed with GGA-PBE.

Structure:
a b c (Å): 7.540 7.587 7.594
angles (deg): 61.30 61.65 61.80
Space group P-1 (No. 2)
One atom of each set of equivalent atoms:
Li  0.000  0.000  0.000 (multiplicity 1)
Li  0.000  0.500  0.500 (multiplicity 1)
Li  0.500  0.000  0.500 (multiplicity 1)
Pu  0.000  0.500  0.000 (multiplicity 1)
Pu  0.500  0.000  0.000 (multiplicity 1)
Pu  0.500  0.500  0.500 (multiplicity 1)
Zn  0.000  0.000  0.500 (multiplicity 1)
S  0.236  0.234  0.265 (multiplicity 2)
S  0.239  0.762  0.736 (multiplicity 2)
S  0.248  0.248  0.749 (multiplicity 2)
S  0.256  0.750  0.251 (multiplicity 2)

Most intense lines, 2θ = 5–70°, in order of rising 2θ:
(hkl)  2θ (°)  d_spacing  intensity
1 1 1  14.5  6.108  100
-1 1 1  26.9  3.315  24
1 -1 1  27.1  3.296  46
2 0 0  28.3  3.153  28
0 2 2  32.9  2.725  27
2 0 2  33.2  2.700  53
1 1 3  36.2  2.481  21
2 -2 0  46.8  1.940  20
2 2 4  48.0  1.896  18
3 1 -1  49.4  1.844  14

(2)
# Rb2NpS4
Theoretical powder diffraction line list, CuKα. Input: a crystal structure in Alexandria, relaxed with GGA-PBE.

Structure:
a b c (Å): 7.320 7.320 33.337
angles (deg): 90.00 90.00 90.00
Space group I4_1/acd (No. 142, origin choice 2)
One atom of each set of equivalent atoms:
Rb  0.000  0.250  0.052 (multiplicity 16)
Np  0.000  0.250  0.375 (multiplicity 8)
S  0.000  0.250  0.301 (multiplicity 16)
S  0.249  0.001  0.125 (multiplicity 16)

Most intense lines, 2θ = 5–70°, in order of rising 2θ:
(hkl)  2θ (°)  d_spacing  intensity
0 0 4  10.6  8.334  79
1 1 2  17.9  4.943  49
1 1 6  23.5  3.787  100
2 0 0  24.3  3.660  71
1 1 10  31.9  2.803  27
0 0 12  32.2  2.778  24
2 2 0  34.7  2.588  51
2 0 12  40.8  2.213  26
3 1 6  42.3  2.137  45
2 2 12  48.0  1.894  30

(3)
# Sr3Sc2In9
Theoretical powder diffraction line list, CuKα. Input: a crystal structure in Alexandria, relaxed with GGA-PBE.

Structure:
a b c (Å): 4.844 11.100 14.638
angles (deg): 90.00 90.00 90.00
Space group Immm (No. 71)
One atom of each set of equivalent atoms:
Sr  0.000  0.000  0.000 (multiplicity 2)
Sr  0.000  0.000  0.297 (multiplicity 4)
Sc  0.000  0.181  0.500 (multiplicity 4)
In  0.000  0.285  0.135 (multiplicity 8)
In  0.000  0.363  0.341 (multiplicity 8)
In  0.000  0.500  0.000 (multiplicity 2)

Most intense lines, 2θ = 5–70°, in order of rising 2θ:
(hkl)  2θ (°)  d_spacing  intensity
0 2 4  29.2  3.055  54
1 3 0  30.4  2.942  74
1 2 3  30.6  2.923  100
1 1 4  31.7  2.824  29
1 3 2  32.8  2.728  38
0 0 6  36.8  2.440  30
2 0 0  37.1  2.422  63
1 4 1  37.9  2.376  44
1 3 4  39.3  2.292  37
1 4 7  58.5  1.579  36

(4)
# CaTi3O7
Theoretical powder diffraction line list, CuKα. Input: a crystal structure in Alexandria, relaxed with GGA-PBE.

Structure:
a b c (Å): 10.792 10.600 5.438
angles (deg): 90.00 90.00 90.00
Space group Pnma (No. 62)
One atom of each set of equivalent atoms:
Ca  0.071  0.250  0.176 (multiplicity 4)
Ti  0.191  0.525  0.700 (multiplicity 8)
Ti  0.217  0.750  0.192 (multiplicity 4)
O  0.044  0.577  0.719 (multiplicity 8)
O  0.061  0.750  0.175 (multiplicity 4)
O  0.220  0.120  0.458 (multiplicity 8)
O  0.225  0.120  0.935 (multiplicity 8)

Most intense lines, 2θ = 5–70°, in order of rising 2θ:
(hkl)  2θ (°)  d_spacing  intensity
2 0 0  16.4  5.396  79
2 2 0  23.5  3.781  13
2 1 1  24.7  3.602  33
1 2 1  24.9  3.581  16
2 2 1  28.8  3.104  100
0 3 1  30.2  2.962  27
0 0 2  32.9  2.719  17
0 4 2  47.9  1.898  19
1 4 2  48.7  1.869  21
6 2 1  56.6  1.625  19

(5)
# KCu4Sb3O12
Theoretical powder diffraction line list, CuKα. Input: a crystal structure in Alexandria, relaxed with GGA-PBE.

Structure:
a b c (Å): 11.1799 11.1799 7.6713
angles (deg): 90.00 90.00 120.00
Space group R32 (No. 155, hexagonal axes)
One atom of each set of equivalent atoms:
K  0.0000  0.0000  0.0000 (multiplicity 3)
Cu  0.0000  0.0000  0.5000 (multiplicity 3)
Cu  0.0000  0.4299  0.5000 (multiplicity 9)
Sb  0.0000  0.5634  0.0000 (multiplicity 9)
O  0.0000  0.6014  0.5000 (multiplicity 9)
O  0.0000  0.8301  0.5000 (multiplicity 9)
O  0.0655  0.2312  0.1877 (multiplicity 18)

Most intense lines, 2θ = 5–70°, in order of rising 2θ:
(hkl)  2θ (°)  d_spacing  intensity
1 1 0  15.9  5.590  37
2 1 1  27.0  3.303  61
2 0 2  29.7  3.006  100
2 2 0  32.0  2.795  25
1 3 1  35.4  2.535  45
1 1 3  38.7  2.325  23
3 1 2  41.0  2.200  22
0 2 4  51.3  1.782  25
5 1 1  54.1  1.696  20
5 2 0  59.6  1.550  22

(6)
# Sm2Ga9Ru3
Theoretical powder diffraction line list, CuKα. Input: a crystal structure in Alexandria, relaxed with GGA-PBE.

Structure:
a b c (Å): 12.975 7.611 9.806
angles (deg): 90.00 90.00 90.00
Space group Cmcm (No. 63)
One atom of each set of equivalent atoms:
Sm  0.162  0.164  0.250 (multiplicity 8)
Ga  0.000  0.132  0.750 (multiplicity 4)
Ga  0.000  0.339  0.059 (multiplicity 8)
Ga  0.106  0.445  0.750 (multiplicity 8)
Ga  0.164  0.173  0.575 (multiplicity 16)
Ru  0.000  0.000  0.000 (multiplicity 4)
Ru  0.175  0.500  0.000 (multiplicity 8)

Most intense lines, 2θ = 5–70°, in order of rising 2θ:
(hkl)  2θ (°)  d_spacing  intensity
3 1 2  29.9  2.984  18
0 2 3  36.2  2.480  48
3 1 3  36.4  2.467  100
0 0 4  36.6  2.452  36
4 2 1  37.6  2.394  19
1 3 2  40.6  2.220  16
5 1 2  41.1  2.196  16
3 3 0  41.3  2.188  84
6 0 0  41.8  2.162  40
0 0 6  56.3  1.633  22

(7)
# Ba2TlNi
Theoretical powder diffraction line list, CuKα. Input: a crystal structure in Alexandria, relaxed with GGA-PBE.

Structure:
a b c (Å): 4.560 4.560 7.679
angles (deg): 90.00 90.00 90.00
Space group P4mm (No. 99)
One atom of each set of equivalent atoms:
Ba  0.000  0.000  0.000 (multiplicity 1)
Ba  0.500  0.500  0.375 (multiplicity 1)
Tl  0.500  0.500  0.822 (multiplicity 1)
Ni  0.000  0.000  0.400 (multiplicity 1)

Most intense lines, 2θ = 5–70°, in order of rising 2θ:
(hkl)  2θ (°)  d_spacing  intensity
1 0 1  22.7  3.921  26
0 0 2  23.2  3.839  34
1 1 0  27.7  3.224  100
1 0 2  30.4  2.937  71
1 1 2  36.4  2.469  43
2 0 0  39.5  2.280  38
1 0 3  40.4  2.232  18
2 0 2  46.3  1.960  22
2 1 2  50.7  1.801  35
3 1 0  64.6  1.442  18

(8)
# CaGa2Ni4
Theoretical powder diffraction line list, CuKα. Input: a crystal structure in Alexandria, relaxed with GGA-PBE.

Structure:
a b c (Å): 7.276 7.276 3.834
angles (deg): 90.00 90.00 90.00
Space group P4_2/mnm (No. 136)
One atom of each set of equivalent atoms:
Ca  0.000  0.000  0.000 (multiplicity 2)
Ga  0.223  0.223  0.500 (multiplicity 4)
Ni  0.090  0.644  0.500 (multiplicity 8)

Most intense lines, 2θ = 5–70°, in order of rising 2θ:
(hkl)  2θ (°)  d_spacing  intensity
1 1 0  17.2  5.145  39
2 2 0  34.9  2.572  18
2 1 1  36.2  2.481  49
3 1 0  39.2  2.301  24
2 2 1  42.3  2.136  59
3 1 1  46.0  1.973  100
0 0 2  47.4  1.917  35
4 1 0  51.8  1.765  22
3 1 2  63.1  1.473  10
4 3 1  69.0  1.361  11